Calculated powder X-ray diffraction pattern
Compound: FeTeCl7
Radiation: copper Kα
Structure: the GGA-PBE geometry in the Materials Project

a = 6.789 Å, b = 8.671 Å, c = 10.331 Å
α = 85.12°, β = 76.95°, γ = 83.24°
Positions (direct):
Fe (0.000, 0.000, 0.000)
Fe (0.252, 0.430, 0.440)
Te (0.452, 0.369, 0.972)
Te (0.704, 0.799, 0.419)
Cl (0.046, 0.630, 0.534)
Cl (0.174, 0.380, 0.250)
Cl (0.177, 0.490, 0.886)
Cl (0.216, 0.229, 0.577)
Cl (0.322, 0.059, 0.946)
Cl (0.445, 0.910, 0.313)
Cl (0.498, 0.795, 0.634)
Cl (0.568, 0.604, 0.007)
Cl (0.576, 0.484, 0.398)
Cl (0.668, 0.340, 0.763)
Cl (0.796, 0.205, 0.084)
Cl (0.827, 0.033, 0.445)
Cl (0.916, 0.925, 0.829)
Cl (0.985, 0.802, 0.155)

Principal peaks in the range 15° ≤ 2θ ≤ 90°, in order of rising 2θ:
(1 1 1), 16.57°, intensity 73
(0 0 2), 17.66°, intensity 100
(1 -1 0), 17.79°, intensity 70
(1 -1 1), 18.81°, intensity 40
(-1 1 2), 26.82°, intensity 56
(2 1 0), 27.99°, intensity 45
(2 -1 2), 32.16°, intensity 51
(1 0 -3), 32.54°, intensity 48
(1 3 1), 32.69°, intensity 46
(3 2 3), 46.50°, intensity 81